Structure and computed powder diffraction line list of V2GaO5 (DFT lattice parameters and positions (PBE+U); Cu Ka).

Structural model:
Cell lengths 5.283, 8.026, 8.319 Å; angles 108.05, 108.30, 91.93 degrees
Space group P1 (No. 1)
Unique sites:
1 V 0.000 0.000 0.000 x1
2 V 0.037 0.304 0.405 x1
3 V 0.211 0.973 0.404 x1
4 V 0.274 0.703 0.082 x1
5 V 0.394 0.964 0.792 x1
6 V 0.858 0.220 0.688 x1
7 Ga 0.244 0.631 0.408 x1
8 Ga 0.672 0.386 0.042 x1
9 Ga 0.703 0.571 0.719 x1
10 O 0.107 0.106 0.849 x1
11 O 0.167 0.826 0.568 x1
12 O 0.186 0.130 0.238 x1
13 O 0.287 0.848 0.947 x1
14 O 0.359 0.485 0.031 x1
15 O 0.387 0.480 0.524 x1
16 O 0.444 0.771 0.333 x1
17 O 0.505 0.092 0.632 x1
18 O 0.678 0.137 0.991 x1
19 O 0.707 0.817 0.802 x1
20 O 0.782 0.440 0.876 x1
21 O 0.925 0.426 0.618 x1
22 O 0.928 0.470 0.272 x1
23 O 0.936 0.103 0.463 x1
24 O 0.991 0.807 0.138 x1

Most intense lines, 2θ = 5–70°, in order of falling intensity:
| Position (°2θ) | intensity | hkl |
| --- | --- | --- |
| 22.82 | 100.0 | 1 1 0 |
| 24.74 | 93.0 | 1 1 -2 |
| 17.80 | 78.5 | 1 0 -1 |
| 35.68 | 52.4 | 0 3 -2 |
| 30.84 | 43.9 | -1 2 1 |
| 36.24 | 38.2 | 0 0 3 |
| 41.61 | 30.8 | 0 3 -3 |
| 24.54 | 24.8 | 1 0 -2 |
| 58.60 | 23.0 | 1 3 2 |
| 60.69 | 19.5 | 0 3 -5 |